(1)
This entry pairs a crystal structure of Th3Ga9Pt2 with its theoretical XRD peak list. Radiation: copper Kα. Structure: a cell relaxed with GGA-PBE.
Intensities are scaled so that the largest is 100.

Structure:
```
data_Th3Ga9Pt2
_cell_length_a 4.348
_cell_length_b 10.256
_cell_length_c 12.411
_cell_angle_alpha 90.00
_cell_angle_beta 90.00
_cell_angle_gamma 90.00
_symmetry_space_group_name_H-M 'I m m m'
_symmetry_Int_Tables_number 71
_symmetry_space_group_name_Hall '-I 2 2'
loop_
_atom_site_label
_atom_site_type_symbol
_atom_site_fract_x
_atom_site_fract_y
_atom_site_fract_z
Th1 Th 0.000 0.000 0.000
Th2 Th 0.000 0.000 0.325
Ga1 Ga 0.000 0.273 0.129
Ga2 Ga 0.000 0.374 0.332
Ga3 Ga 0.000 0.500 0.000
Pt1 Pt 0.000 0.223 0.500
```

The 8 most intense peaks (15° ≤ 2θ ≤ 90°), low angle first:
2θ (°)  I/Imax
22.21  15
33.34  18
34.02  24
34.67  100
35.00  14
41.54  27
43.76  16
62.56  16

***

(2)
This entry pairs a crystal structure of Ti4Ga5Pt with its theoretical XRD peak list. Radiation: copper Kα. Structure: a cell relaxed with GGA-PBE.
Intensities are scaled so that the largest is 100.

Structure:
```
data_Ti4Ga5Pt
_cell_length_a 7.964
_cell_length_b 7.964
_cell_length_c 5.383
_cell_angle_alpha 90.00
_cell_angle_beta 90.00
_cell_angle_gamma 90.00
_symmetry_space_group_name_H-M 'I 4'
_symmetry_Int_Tables_number 79
loop_
_symmetry_equiv_pos_as_xyz
'x,y,z'
'-y,x,z'
'-x,-y,z'
'y,-x,z'
'x+1/2,y+1/2,z+1/2'
'-y+1/2,x+1/2,z+1/2'
'-x+1/2,-y+1/2,z+1/2'
'y+1/2,-x+1/2,z+1/2'
loop_
_atom_site_label
_atom_site_type_symbol
_atom_site_fract_x
_atom_site_fract_y
_atom_site_fract_z
Ti1 Ti 0.068 0.308 0.000
Ga1 Ga 0.000 0.000 0.763
Ga2 Ga 0.097 0.256 0.495
Pt1 Pt 0.000 0.000 0.226
```

The 8 most intense peaks (15° ≤ 2θ ≤ 90°), low angle first:
2θ (°)  I/Imax
15.74  58
19.91  27
35.65  100
37.02  43
40.45  40
46.69  42
49.57  47
51.30  34

***

(3)
This entry pairs a crystal structure of Ti5Ga2Pt2 with its theoretical XRD peak list. Radiation: copper Kα. Structure: a cell relaxed with GGA-PBE.
Intensities are scaled so that the largest is 100.

Structure:
```
data_Ti5Ga2Pt2
_cell_length_a 13.316
_cell_length_b 7.315
_cell_length_c 6.410
_cell_angle_alpha 90.00
_cell_angle_beta 90.00
_cell_angle_gamma 90.00
_symmetry_space_group_name_H-M 'C m c e'
_symmetry_Int_Tables_number 64
_symmetry_space_group_name_Hall '-C 2ac 2'
loop_
_atom_site_label
_atom_site_type_symbol
_atom_site_fract_x
_atom_site_fract_y
_atom_site_fract_z
Ti1 Ti 0.000 0.000 0.000
Ti2 Ti 0.135 0.178 0.342
Ga1 Ga 0.209 0.000 0.000
Pt1 Pt 0.000 0.134 0.638
```

The 8 most intense peaks (15° ≤ 2θ ≤ 90°), low angle first:
2θ (°)  I/Imax
26.78  30
27.31  37
31.20  100
36.70  87
39.20  74
40.14  51
44.71  39
46.01  35

***

(4)
This entry pairs a crystal structure of Ti2Ga6Pt with its theoretical XRD peak list. Radiation: copper Kα. Structure: a cell relaxed with GGA-PBE.
Intensities are scaled so that the largest is 100.

Structure:
```
data_Ti2Ga6Pt
_cell_length_a 6.888
_cell_length_b 2.965
_cell_length_c 8.177
_cell_angle_alpha 90.00
_cell_angle_beta 114.11
_cell_angle_gamma 90.00
_symmetry_space_group_name_H-M 'P 1 2/m 1'
_symmetry_Int_Tables_number 10
loop_
_symmetry_equiv_pos_as_xyz
'x,y,z'
'-x,-y,-z'
'-x,y,-z'
'x,-y,z'
loop_
_atom_site_label
_atom_site_type_symbol
_atom_site_fract_x
_atom_site_fract_y
_atom_site_fract_z
Ti1 Ti 0.201 0.000 0.406
Ga1 Ga 0.155 0.500 0.686
Ga2 Ga 0.189 0.000 0.004
Ga3 Ga 0.473 0.500 0.319
Pt1 Pt 0.500 0.500 0.000
```

The 8 most intense peaks (15° ≤ 2θ ≤ 90°), low angle first:
2θ (°)  I/Imax
33.44  100
36.10  73
41.88  50
42.10  48
43.17  49
43.65  46
45.19  27
47.01  27

***

(5)
This entry pairs a crystal structure of Ti2Ga2Pt with its theoretical XRD peak list. Radiation: copper Kα. Structure: a cell relaxed with GGA-PBE.
Intensities are scaled so that the largest is 100.

Structure:
```
data_Ti2Ga2Pt
_cell_length_a 6.523
_cell_length_b 6.523
_cell_length_c 7.496
_cell_angle_alpha 90.00
_cell_angle_beta 90.00
_cell_angle_gamma 90.00
_symmetry_space_group_name_H-M 'P 4/m n c'
_symmetry_Int_Tables_number 128
_symmetry_space_group_name_Hall '-P 4 2n'
loop_
_atom_site_label
_atom_site_type_symbol
_atom_site_fract_x
_atom_site_fract_y
_atom_site_fract_z
Ti1 Ti 0.160 0.328 0.000
Ga1 Ga 0.136 0.636 0.250
Pt1 Pt 0.000 0.000 0.298
```

The 8 most intense peaks (15° ≤ 2θ ≤ 90°), low angle first:
2θ (°)  I/Imax
19.24  35
23.74  44
30.73  33
36.52  46
38.59  28
39.11  100
43.89  83
50.50  44

***

(6)
This entry pairs a crystal structure of TiGa3Pt with its theoretical XRD peak list. Radiation: copper Kα. Structure: a cell relaxed with GGA-PBE.
Intensities are scaled so that the largest is 100.

Structure:
```
data_TiGa3Pt
_cell_length_a 4.083
_cell_length_b 6.437
_cell_length_c 6.573
_cell_angle_alpha 90.00
_cell_angle_beta 90.00
_cell_angle_gamma 90.00
_symmetry_space_group_name_H-M 'P m m n'
_symmetry_Int_Tables_number 59
loop_
_symmetry_equiv_pos_as_xyz
'x,y,z'
'-x,-y,-z'
'-x+1/2,-y+1/2,z'
'x+1/2,y+1/2,-z'
'x+1/2,-y,-z'
'-x+1/2,y,z'
'-x,y+1/2,-z'
'x,-y+1/2,z'
loop_
_atom_site_label
_atom_site_type_symbol
_atom_site_fract_x
_atom_site_fract_y
_atom_site_fract_z
Ti1 Ti 0.250 0.250 0.184
Ga1 Ga 0.250 0.026 0.796
Ga2 Ga 0.250 0.750 0.500
Pt1 Pt 0.250 0.750 0.116
```

The 8 most intense peaks (15° ≤ 2θ ≤ 90°), low angle first:
2θ (°)  I/Imax
19.30  33
25.84  55
30.54  28
37.82  24
38.15  100
41.20  25
44.37  37
45.26  60

***

(7)
This entry pairs a crystal structure of Ti2GaPt4 with its theoretical XRD peak list. Radiation: copper Kα. Structure: a cell relaxed with GGA-PBE.
Intensities are scaled so that the largest is 100.

Structure:
```
data_Ti2GaPt4
_cell_length_a 6.321
_cell_length_b 5.257
_cell_length_c 7.426
_cell_angle_alpha 90.00
_cell_angle_beta 112.58
_cell_angle_gamma 90.00
_symmetry_space_group_name_H-M 'P 1 21/m 1'
_symmetry_Int_Tables_number 11
loop_
_symmetry_equiv_pos_as_xyz
'x,y,z'
'-x,-y,-z'
'-x,y+1/2,-z'
'x,-y+1/2,z'
loop_
_atom_site_label
_atom_site_type_symbol
_atom_site_fract_x
_atom_site_fract_y
_atom_site_fract_z
Ti1 Ti 0.164 0.250 0.075
Ti2 Ti 0.275 0.250 0.522
Ga1 Ga 0.260 0.750 0.311
Pt1 Pt 0.100 0.505 0.757
Pt2 Pt 0.440 0.750 0.677
Pt3 Pt 0.458 0.750 0.080
```

The 8 most intense peaks (15° ≤ 2θ ≤ 90°), low angle first:
2θ (°)  I/Imax
15.71  45
25.99  41
35.13  36
37.52  100
39.16  43
43.18  40
43.38  47
44.87  46

***

(8)
This entry pairs a crystal structure of Ti11Ga9Pt4 with its theoretical XRD peak list. Radiation: copper Kα. Structure: a cell relaxed with GGA-PBE.
Intensities are scaled so that the largest is 100.

Structure:
```
data_Ti11Ga9Pt4
_cell_length_a 12.830
_cell_length_b 20.813
_cell_length_c 2.861
_cell_angle_alpha 90.00
_cell_angle_beta 90.00
_cell_angle_gamma 90.00
_symmetry_space_group_name_H-M 'C m m m'
_symmetry_Int_Tables_number 65
_symmetry_space_group_name_Hall '-C 2 2'
loop_
_atom_site_label
_atom_site_type_symbol
_atom_site_fract_x
_atom_site_fract_y
_atom_site_fract_z
Ti1 Ti 0.000 0.000 0.000
Ti2 Ti 0.000 0.181 0.000
Ti3 Ti 0.000 0.381 0.000
Ti4 Ti 0.216 0.184 0.000
Ti5 Ti 0.236 0.000 0.000
Ga1 Ga 0.000 0.500 0.500
Ga2 Ga 0.105 0.278 0.500
Ga3 Ga 0.113 0.089 0.500
Pt1 Pt 0.173 0.405 0.500
```

The 8 most intense peaks (15° ≤ 2θ ≤ 90°), low angle first:
2θ (°)  I/Imax
31.27  43
38.22  63
40.89  100
41.33  83
42.33  72
43.48  42
69.99  43
78.38  45

***

(9)
This entry pairs a crystal structure of TiGaPt5 with its theoretical XRD peak list. Radiation: copper Kα. Structure: a cell relaxed with GGA-PBE.
Intensities are scaled so that the largest is 100.

Structure:
```
data_TiGaPt5
_cell_length_a 3.967
_cell_length_b 3.967
_cell_length_c 7.157
_cell_angle_alpha 90.00
_cell_angle_beta 90.00
_cell_angle_gamma 90.00
_symmetry_space_group_name_H-M 'P 4/m m m'
_symmetry_Int_Tables_number 123
_symmetry_space_group_name_Hall '-P 4 2'
loop_
_atom_site_label
_atom_site_type_symbol
_atom_site_fract_x
_atom_site_fract_y
_atom_site_fract_z
Ti1 Ti 0.000 0.000 0.000
Ga1 Ga 0.500 0.500 0.500
Pt1 Pt 0.000 0.500 0.271
Pt2 Pt 0.500 0.500 0.000
```

The 8 most intense peaks (15° ≤ 2θ ≤ 90°), low angle first:
2θ (°)  I/Imax
24.88  15
31.90  18
40.88  100
45.74  38
51.05  11
66.69  12
70.94  17
81.26  28

***

(10)
This entry pairs a crystal structure of TiVGaPt with its theoretical XRD peak list. Radiation: copper Kα. Structure: a cell relaxed with GGA-PBE.
Intensities are scaled so that the largest is 100.

Structure:
```
data_TiVGaPt
_cell_length_a 6.206
_cell_length_b 6.206
_cell_length_c 6.206
_cell_angle_alpha 90.00
_cell_angle_beta 90.00
_cell_angle_gamma 90.00
_symmetry_space_group_name_H-M 'F -4 3 m'
_symmetry_Int_Tables_number 216
_symmetry_space_group_name_Hall 'F -4 2 3'
loop_
_atom_site_label
_atom_site_type_symbol
_atom_site_fract_x
_atom_site_fract_y
_atom_site_fract_z
Ti1 Ti 0.000 0.000 0.000
V1 V 0.250 0.250 0.750
Ga1 Ga 0.000 0.000 0.500
Pt1 Pt 0.250 0.250 0.250
```

The 8 most intense peaks (15° ≤ 2θ ≤ 90°), low angle first:
2θ (°)  I/Imax
24.85  38
28.77  14
41.14  100
48.66  20
59.59  16
65.57  9
74.97  33
89.29  11

***

(11)
This entry pairs a crystal structure of TmGa4Pt2 with its theoretical XRD peak list. Radiation: copper Kα. Structure: a cell relaxed with GGA-PBE.
Intensities are scaled so that the largest is 100.

Structure:
```
data_TmGa4Pt2
_cell_length_a 17.227
_cell_length_b 4.258
_cell_length_c 6.711
_cell_angle_alpha 90.00
_cell_angle_beta 90.00
_cell_angle_gamma 90.00
_symmetry_space_group_name_H-M 'P n m a'
_symmetry_Int_Tables_number 62
loop_
_symmetry_equiv_pos_as_xyz
'x,y,z'
'-x,-y,-z'
'-x+1/2,-y,z+1/2'
'x+1/2,y,-z+1/2'
'x+1/2,-y+1/2,-z+1/2'
'-x+1/2,y+1/2,z+1/2'
'-x,y+1/2,-z'
'x,-y+1/2,z'
loop_
_atom_site_label
_atom_site_type_symbol
_atom_site_fract_x
_atom_site_fract_y
_atom_site_fract_z
Tm1 Tm 0.142 0.250 0.019
Ga1 Ga 0.038 0.750 0.855
Ga2 Ga 0.068 0.250 0.485
Ga3 Ga 0.185 0.750 0.324
Ga4 Ga 0.188 0.750 0.736
Pt1 Pt 0.038 0.750 0.247
Pt2 Pt 0.216 0.250 0.533
```

The 8 most intense peaks (15° ≤ 2θ ≤ 90°), low angle first:
2θ (°)  I/Imax
28.55  26
35.62  100
36.11  62
38.98  34
42.46  50
46.79  29
47.09  24
58.99  20

***

(12)
This entry pairs a crystal structure of Tm6Ga2Pt with its theoretical XRD peak list. Radiation: copper Kα. Structure: a cell relaxed with GGA-PBE.
Intensities are scaled so that the largest is 100.

Structure:
```
data_Tm6Ga2Pt
_cell_length_a 9.498
_cell_length_b 9.557
_cell_length_c 9.755
_cell_angle_alpha 90.00
_cell_angle_beta 90.00
_cell_angle_gamma 90.00
_symmetry_space_group_name_H-M 'I m m m'
_symmetry_Int_Tables_number 71
_symmetry_space_group_name_Hall '-I 2 2'
loop_
_atom_site_label
_atom_site_type_symbol
_atom_site_fract_x
_atom_site_fract_y
_atom_site_fract_z
Tm1 Tm 0.000 0.213 0.172
Tm2 Tm 0.174 0.240 0.500
Tm3 Tm 0.190 0.500 0.242
Ga1 Ga 0.000 0.000 0.373
Ga2 Ga 0.142 0.000 0.000
Pt1 Pt 0.000 0.500 0.000
Pt2 Pt 0.000 0.500 0.500
```

The 8 most intense peaks (15° ≤ 2θ ≤ 90°), low angle first:
2θ (°)  I/Imax
29.02  19
29.57  20
32.30  100
34.68  40
35.08  57
35.23  48
37.65  40
59.59  28